(1)
Structure and theoretical PXRD pattern of AgCl2 (a cell relaxed with PBE; Cu Ka).

Peak list (10 most intense, 15 to 90 degrees two-theta, in order of rising 2θ)
- 4.106 Å, I 100
- 3.884 Å, I 30
- 3.371 Å, I 44
- 3.173 Å, I 19
- 2.476 Å, I 29
- 2.245 Å, I 22
- 2.132 Å, I 19
- 2.118 Å, I 17
- 2.093 Å, I 25
- 2.053 Å, I 27

Cell and atoms:
Unit cell a=4.350 b=5.501 c=6.910 alpha=90.00 beta=116.75 gamma=90.00
Space group P2_1/c (No. 14)
Symmetry-distinct sites (fractional):
1 Ag 0.000 0.000 0.000 x2
2 Cl 0.280 0.223 0.813 x4



(2)
Structure and theoretical PXRD pattern of PrTeNO (a cell relaxed with PBE; Cu Ka).

Peak list (10 most intense, 15 to 90 degrees two-theta, in order of rising 2θ)
- 3.084 Å, I 100
- 2.974 Å, I 14
- 2.905 Å, I 17
- 2.544 Å, I 9
- 2.300 Å, I 10
- 2.078 Å, I 16
- 1.820 Å, I 9
- 1.804 Å, I 13
- 1.738 Å, I 10
- 1.710 Å, I 15

Cell and atoms:
Unit cell a=5.948 b=9.201 c=5.811 alpha=90.00 beta=90.00 gamma=90.00
Space group Pca2_1 (No. 29)
Symmetry-distinct sites (fractional):
1 Pr 0.026 0.122 0.000 x4
2 Te 0.058 0.397 0.451 x4
3 N 0.217 0.300 0.721 x4
4 O 0.248 0.980 0.250 x4



(3)
Structure and theoretical PXRD pattern of GdDyMg6 (a cell relaxed with PBE; Cu Ka).

Peak list (10 most intense, 15 to 90 degrees two-theta, in order of rising 2θ)
- 4.234 Å, I 73
- 3.667 Å, I 39
- 2.593 Å, I 100
- 2.213 Å, I 27
- 2.207 Å, I 13
- 2.117 Å, I 12
- 1.836 Å, I 12
- 1.683 Å, I 17
- 1.498 Å, I 24
- 1.495 Å, I 12

Cell and atoms:
Unit cell a=5.193 b=7.315 c=5.192 alpha=90.00 beta=90.00 gamma=90.00
Space group Pmm2 (No. 25)
Symmetry-distinct sites (fractional):
1 Gd 0.000 0.000 0.000 x1
2 Dy 0.500 0.500 0.491 x1
3 Mg 0.000 0.251 0.501 x2
4 Mg 0.000 0.500 0.999 x1
5 Mg 0.500 0.000 0.492 x1
6 Mg 0.500 0.251 0.991 x2



(4)
Structure and theoretical PXRD pattern of RbRe3Br10 (a cell relaxed with PBE; Cu Ka).

Peak list (10 most intense, 15 to 90 degrees two-theta, in order of rising 2θ)
- 4.087 Å, I 48
- 2.965 Å, I 80
- 2.940 Å, I 100
- 2.737 Å, I 65
- 2.657 Å, I 59
- 2.508 Å, I 47
- 2.317 Å, I 41
- 2.268 Å, I 38
- 2.200 Å, I 72
- 1.842 Å, I 46

Cell and atoms:
Unit cell a=14.845 b=10.998 c=10.316 alpha=90.00 beta=91.97 gamma=90.00
Space group C2/m (No. 12)
Symmetry-distinct sites (fractional):
1 Rb 0.000 0.214 0.000 x4
2 Re 0.201 0.389 0.372 x8
3 Re 0.237 0.000 0.812 x4
4 Br 0.046 0.343 0.298 x8
5 Br 0.075 0.000 0.744 x4
6 Br 0.128 0.500 0.036 x4
7 Br 0.141 0.500 0.569 x4
8 Br 0.159 0.000 0.049 x4
9 Br 0.159 0.161 0.496 x8
10 Br 0.238 0.233 0.817 x8



(5)
Structure and theoretical PXRD pattern of YHoCS (a cell relaxed with PBE; Cu Ka).

Peak list (10 most intense, 15 to 90 degrees two-theta, in order of rising 2θ)
- 3.219 Å, I 17
- 3.203 Å, I 35
- 3.108 Å, I 35
- 2.567 Å, I 100
- 2.271 Å, I 18
- 1.849 Å, I 30
- 1.603 Å, I 19
- 1.595 Å, I 16
- 1.500 Å, I 19
- 1.165 Å, I 16

Cell and atoms:
Unit cell a=3.6984 b=3.6984 c=12.8773 alpha=90.00 beta=90.00 gamma=120.00
Space group P-6m2 (No. 187)
Symmetry-distinct sites (fractional):
1 Y 0.0000 0.0000 0.1461 x2
2 Ho 0.6667 0.3333 0.3543 x2
3 C 0.3333 0.6667 0.2511 x2
4 S 0.0000 0.0000 0.5000 x1
5 S 0.6667 0.3333 0.0000 x1



(6)
Structure and theoretical PXRD pattern of WS8Cl6 (a cell relaxed with PBE; Cu Ka).

Peak list (10 most intense, 15 to 90 degrees two-theta, in order of rising 2θ)
- 5.675 Å, I 59
- 5.518 Å, I 100
- 5.406 Å, I 57
- 5.249 Å, I 92
- 4.636 Å, I 68
- 4.499 Å, I 57
- 3.937 Å, I 36
- 3.485 Å, I 45
- 3.121 Å, I 57
- 2.531 Å, I 52

Cell and atoms:
Unit cell a=8.009 b=8.026 c=12.807 alpha=97.10 beta=100.65 gamma=90.24
Space group P-1 (No. 2)
Symmetry-distinct sites (fractional):
1 W 0.213 0.223 0.394 x2
2 S 0.055 0.244 0.840 x2
3 S 0.120 0.490 0.901 x2
4 S 0.225 0.088 0.919 x2
5 S 0.260 0.592 0.804 x2
6 S 0.379 0.817 0.111 x2
7 S 0.385 0.624 0.204 x2
8 S 0.412 0.026 0.831 x2
9 S 0.486 0.416 0.130 x2
10 Cl 0.065 0.858 0.611 x2
11 Cl 0.135 0.500 0.394 x2
12 Cl 0.162 0.189 0.209 x2
13 Cl 0.258 0.255 0.578 x2
14 Cl 0.295 0.948 0.392 x2
15 Cl 0.491 0.306 0.398 x2



(7)
Structure and theoretical PXRD pattern of CsRbZnSn (a cell relaxed with PBE; Cu Ka).

Peak list (10 most intense, 15 to 90 degrees two-theta, in order of rising 2θ)
- 3.571 Å, I 68
- 3.535 Å, I 32
- 3.487 Å, I 48
- 3.189 Å, I 100
- 3.153 Å, I 95
- 2.672 Å, I 54
- 1.971 Å, I 42
- 1.950 Å, I 32
- 1.912 Å, I 31
- 1.889 Å, I 26

Cell and atoms:
Unit cell a=7.164 b=6.974 c=7.290 alpha=90.00 beta=109.76 gamma=90.00
Space group P2_1/m (No. 11)
Symmetry-distinct sites (fractional):
1 Cs 0.008 0.250 0.174 x2
2 Rb 0.329 0.750 0.495 x2
3 Zn 0.500 0.000 0.000 x2
4 Sn 0.270 0.250 0.758 x2



(8)
Structure and theoretical PXRD pattern of MgInNi2 (a cell relaxed with PBE; Cu Ka).

Peak list (10 most intense, 15 to 90 degrees two-theta, in order of rising 2θ)
- 3.861 Å, I 47
- 2.695 Å, I 51
- 2.173 Å, I 100
- 2.125 Å, I 45
- 1.894 Å, I 38
- 1.718 Å, I 26
- 1.519 Å, I 14
- 1.255 Å, I 15
- 1.245 Å, I 14
- 1.218 Å, I 14

Cell and atoms:
Unit cell a=4.3467 b=4.3467 c=7.7222 alpha=90.00 beta=90.00 gamma=120.00
Space group P6_3/mmc (No. 194)
Symmetry-distinct sites (fractional):
1 Mg 0.3333 0.6667 0.2500 x2
2 In 0.0000 0.0000 0.0000 x2
3 Ni 0.3333 0.6667 0.5889 x4



(9)
Structure and theoretical PXRD pattern of ZnF2 (a cell relaxed with PBE; Cu Ka).

Peak list (10 most intense, 15 to 90 degrees two-theta, in order of rising 2θ)
- 3.229 Å, I 100
- 2.655 Å, I 30
- 2.577 Å, I 41
- 2.269 Å, I 15
- 1.754 Å, I 33
- 1.687 Å, I 39
- 1.614 Å, I 18
- 1.595 Å, I 12
- 1.430 Å, I 16
- 1.427 Å, I 15

Cell and atoms:
Unit cell a=4.372 b=4.789 c=6.379 alpha=90.00 beta=90.00 gamma=90.00
Space group P2_12_12_1 (No. 19)
Symmetry-distinct sites (fractional):
1 Zn 0.249 0.000 0.125 x4
2 F 0.026 0.173 0.375 x4
3 F 0.027 0.174 0.875 x4



(10)
Structure and theoretical PXRD pattern of Sr2AgSb2Au (a cell relaxed with PBE; Cu Ka).

Peak list (10 most intense, 15 to 90 degrees two-theta, in order of rising 2θ)
- 4.338 Å, I 28
- 2.995 Å, I 100
- 2.390 Å, I 68
- 2.169 Å, I 17
- 2.093 Å, I 24
- 1.868 Å, I 25
- 1.606 Å, I 39
- 1.472 Å, I 23
- 1.380 Å, I 12
- 1.164 Å, I 14

Cell and atoms:
Unit cell a=4.7796 b=4.7796 c=8.6756 alpha=90.00 beta=90.00 gamma=120.00
Space group P-6m2 (No. 187)
Symmetry-distinct sites (fractional):
1 Sr 0.0000 0.0000 0.2501 x2
2 Ag 0.6667 0.3333 0.0000 x1
3 Sb 0.3333 0.6667 0.0000 x1
4 Sb 0.6667 0.3333 0.5000 x1
5 Au 0.3333 0.6667 0.5000 x1



(11)
Structure and theoretical PXRD pattern of Cd2Hg (a cell relaxed with PBE; Cu Ka).

Peak list (10 most intense, 15 to 90 degrees two-theta, in order of rising 2θ)
- 3.615 Å, I 12
- 2.805 Å, I 81
- 2.355 Å, I 100
- 1.984 Å, I 30
- 1.517 Å, I 50
- 1.403 Å, I 10
- 1.297 Å, I 15
- 1.255 Å, I 13
- 1.205 Å, I 13
- 1.177 Å, I 11

Cell and atoms:
Unit cell a=3.967 b=3.967 c=8.779 alpha=90.00 beta=90.00 gamma=90.00
Space group I4/mmm (No. 139)
Symmetry-distinct sites (fractional):
1 Cd 0.000 0.000 0.167 x4
2 Hg 0.000 0.000 0.500 x2



(12)
Structure and theoretical PXRD pattern of RbTbSeO (a cell relaxed with PBE; Cu Ka).

Peak list (10 most intense, 15 to 90 degrees two-theta, in order of rising 2θ)
- 3.659 Å, I 66
- 3.110 Å, I 61
- 3.098 Å, I 66
- 2.840 Å, I 100
- 2.621 Å, I 21
- 2.610 Å, I 50
- 2.600 Å, I 40
- 2.070 Å, I 65
- 1.724 Å, I 24
- 1.720 Å, I 21

Cell and atoms:
Unit cell a=5.855 b=5.855 c=12.074 alpha=90.00 beta=103.72 gamma=90.00
Space group C2 (No. 5)
Symmetry-distinct sites (fractional):
1 Rb 0.196 0.000 0.392 x4
2 Tb 0.208 0.255 0.914 x4
3 Se 0.137 0.500 0.271 x4
4 O 0.000 0.006 0.000 x2
5 O 0.000 0.506 0.000 x2